K2ZnHgF6: theoretical powder diffraction line list (CuKα), based on a PBE-relaxed structure.

Atomic structure:
Cell lengths 10.6597, 10.6597, 10.6597 Å; angles 32.46, 32.46, 32.46 degrees
Fractional positions:
K1 0.1257 0.1257 0.1257
K2 0.2849 0.2849 0.2849
K3 0.7151 0.7151 0.7151
K4 0.8743 0.8743 0.8743
Zn1 0.4115 0.4115 0.4115
Zn2 0.5885 0.5885 0.5885
Hg1 0.0000 0.0000 0.0000
Hg2 0.5000 0.5000 0.5000
F1 0.1120 0.6212 0.6212
F2 0.2173 0.2173 0.6995
F3 0.2173 0.6995 0.2173
F4 0.3005 0.7827 0.7827
F5 0.3788 0.3788 0.8880
F6 0.3788 0.8880 0.3788
F7 0.6212 0.1120 0.6212
F8 0.6212 0.6212 0.1120
F9 0.6995 0.2173 0.2173
F10 0.7827 0.3005 0.7827
F11 0.7827 0.7827 0.3005
F12 0.8880 0.3788 0.3788

Peak list (10 most intense, 2θ = 10–80°, most intense first)
| Position (°2θ) | Rel. int. |
| --- | --- |
| 18.16 | 100 |
| 29.99 | 71 |
| 20.84 | 37 |
| 34.35 | 33 |
| 29.27 | 32 |
| 46.24 | 25 |
| 47.21 | 22 |
| 46.97 | 20 |
| 62.33 | 17 |
| 42.40 | 17 |

***

Rb2MgHgF6: theoretical powder diffraction line list (CuKα), based on a PBE-relaxed structure.

Atomic structure:
Cell lengths 5.8286, 5.8286, 5.1752 Å; angles 102.57, 102.57, 60.68 degrees
Fractional positions:
Rb1 0.2211 0.2211 0.2096
Rb2 0.7789 0.7789 0.7904
Mg1 0.5000 0.5000 0.0000
Hg1 0.0000 0.0000 0.5000
F1 0.1983 0.6781 0.1985
F2 0.3144 0.3144 0.7489
F3 0.3219 0.8017 0.8015
F4 0.6781 0.1983 0.1985
F5 0.6856 0.6856 0.2511
F6 0.8017 0.3219 0.8015

Peak list (10 most intense, 2θ = 10–80°, most intense first)
| Position (°2θ) | Rel. int. |
| --- | --- |
| 26.69 | 100 |
| 17.60 | 71 |
| 32.61 | 69 |
| 47.75 | 43 |
| 30.36 | 38 |
| 42.21 | 33 |
| 36.76 | 24 |
| 35.96 | 23 |
| 36.93 | 22 |
| 37.98 | 21 |

***

MgHg2Te2F2: theoretical powder diffraction line list (CuKα), based on a PBE-relaxed structure.

Atomic structure:
Cell lengths 4.0496, 4.0496, 9.2791 Å; angles 90.00, 90.00, 90.00 degrees
Fractional positions:
Mg1 0.0000 0.0000 0.0000
Hg1 0.0000 0.5000 0.3413
Hg2 0.5000 0.0000 0.6587
Te1 0.0000 0.5000 0.7929
Te2 0.5000 0.0000 0.2071
F1 0.0000 0.0000 0.5000
F2 0.5000 0.5000 0.5000

Peak list (10 most intense, 2θ = 10–80°, most intense first)
| Position (°2θ) | Rel. int. |
| --- | --- |
| 29.27 | 100 |
| 31.24 | 59 |
| 54.38 | 51 |
| 36.89 | 44 |
| 45.04 | 35 |
| 44.76 | 33 |
| 19.13 | 27 |
| 65.37 | 23 |
| 72.99 | 20 |
| 36.56 | 12 |

***

Hg4OF6: theoretical powder diffraction line list (CuKα), based on a PBE-relaxed structure.

Atomic structure:
Cell lengths 7.7358, 7.7358, 5.9830 Å; angles 90.00, 90.00, 120.00 degrees
Fractional positions:
Hg1 0.1817 0.3635 0.0000
Hg2 0.1817 0.8183 0.0000
Hg3 0.3333 0.6667 0.4766
Hg4 0.3635 0.1817 0.5000
Hg5 0.6365 0.8183 0.0000
Hg6 0.6667 0.3333 0.9766
Hg7 0.8183 0.1817 0.5000
Hg8 0.8183 0.6365 0.5000
O1 0.3333 0.6667 0.1231
O2 0.6667 0.3333 0.6231
F1 0.0714 0.5357 0.7235
F2 0.1267 0.2534 0.3948
F3 0.1267 0.8733 0.3948
F4 0.2534 0.1267 0.8948
F5 0.4643 0.5357 0.7235
F6 0.4643 0.9286 0.7235
F7 0.5357 0.0714 0.2235
F8 0.5357 0.4643 0.2235
F9 0.7466 0.8733 0.3948
F10 0.8733 0.1267 0.8948
F11 0.8733 0.7466 0.8948
F12 0.9286 0.4643 0.2235

Peak list (10 most intense, 2θ = 10–80°, most intense first)
| Position (°2θ) | Rel. int. |
| --- | --- |
| 30.59 | 100 |
| 46.99 | 28 |
| 29.87 | 25 |
| 53.47 | 25 |
| 26.61 | 25 |
| 40.43 | 23 |
| 56.68 | 23 |
| 57.11 | 17 |
| 76.98 | 12 |
| 73.89 | 8 |

***

Copy entry 1 word for word.
K2ZnHgF6: theoretical powder diffraction line list (CuKα), based on a PBE-relaxed structure.

Atomic structure:
Cell lengths 10.6597, 10.6597, 10.6597 Å; angles 32.46, 32.46, 32.46 degrees
Fractional positions:
K1 0.1257 0.1257 0.1257
K2 0.2849 0.2849 0.2849
K3 0.7151 0.7151 0.7151
K4 0.8743 0.8743 0.8743
Zn1 0.4115 0.4115 0.4115
Zn2 0.5885 0.5885 0.5885
Hg1 0.0000 0.0000 0.0000
Hg2 0.5000 0.5000 0.5000
F1 0.1120 0.6212 0.6212
F2 0.2173 0.2173 0.6995
F3 0.2173 0.6995 0.2173
F4 0.3005 0.7827 0.7827
F5 0.3788 0.3788 0.8880
F6 0.3788 0.8880 0.3788
F7 0.6212 0.1120 0.6212
F8 0.6212 0.6212 0.1120
F9 0.6995 0.2173 0.2173
F10 0.7827 0.3005 0.7827
F11 0.7827 0.7827 0.3005
F12 0.8880 0.3788 0.3788

Peak list (10 most intense, 2θ = 10–80°, most intense first)
| Position (°2θ) | Rel. int. |
| --- | --- |
| 18.16 | 100 |
| 29.99 | 71 |
| 20.84 | 37 |
| 34.35 | 33 |
| 29.27 | 32 |
| 46.24 | 25 |
| 47.21 | 22 |
| 46.97 | 20 |
| 62.33 | 17 |
| 42.40 | 17 |